Starting from DFT lattice parameters and positions (PBE), the powder XRD pattern of Nd2BrCl5 was computed for Cu Kα X-rays.
Intensities are scaled so that the largest is 100.

Structure:
```
data_Nd2BrCl5
_chemical_formula_sum 'Nd2 Br1 Cl5'
_space_group_name_H-M_alt 'P 1 m 1'
_space_group_IT_number 6
_cell_length_a 7.439
_cell_length_b 4.274
_cell_length_c 7.579
_cell_angle_alpha 90.00
_cell_angle_beta 118.65
_cell_angle_gamma 90.00
loop_
_space_group_symop_operation_xyz
'x,y,z'
'x,-y,z'
loop_
_atom_site_label
_atom_site_fract_x
_atom_site_fract_y
_atom_site_fract_z
Nd1 0.000 0.000 0.000
Nd2 0.337 0.500 0.671
Br1 0.390 0.000 0.415
Cl1 0.061 0.000 0.636
Cl2 0.273 0.500 0.020
Cl3 0.581 0.000 0.944
Cl4 0.763 0.500 0.734
Cl5 0.975 0.500 0.249
```

Largest 10 diffraction maxima, in order of rising 2θ, 2θ from 10° to 80°:
13.31°, I = 50, hkl 0 0 1; 13.56°, I = 79, hkl 1 0 0; 13.71°, I = 96, hkl 1 0 -1; 23.22°, I = 41, hkl 1 0 1; 24.96°, I = 95, hkl 1 1 -1; 34.16°, I = 83, hkl 0 1 2; 34.57°, I = 62, hkl 2 1 0; 34.82°, I = 81, hkl 2 1 -2; 41.94°, I = 100, hkl 3 0 -3; 42.30°, I = 60, hkl 0 2 0